(1)
The following is a calculated X-ray powder pattern of HfFeP. It was derived from DFT lattice parameters and positions (GGA-PBE), using Cu Ka.
Lines closer than 0.1° are merged.

Structural model:
a b c (Å): 6.239 3.734 7.025
angles (deg): 90.00 90.00 90.00
Space group Pnma (No. 62)
Symmetry-distinct sites (fractional):
Hf1 0.017 0.250 0.185
Fe1 0.149 0.250 0.562
P1 0.219 0.750 0.385

Most intense lines, 10° ≤ 2θ ≤ 80°, sorted by position:
Position (°2θ)  I_rel  index
27.0  57  0 1 1
28.6  28  2 0 0
38.0  85  1 1 2
38.6  29  2 0 2
39.8  100  2 1 1
41.2  42  1 0 3
45.5  17  3 0 1
45.7  19  0 1 3
48.8  29  0 2 0
60.1  18  1 1 4
65.7  21  1 2 3
75.3  23  3 1 4

(2)
The following is a calculated X-ray powder pattern of Hf4Fe3Pd. It was derived from DFT lattice parameters and positions (GGA-PBE), using Cu Ka.
Lines closer than 0.1° are merged.

Structural model:
a b c (Å): 3.191 4.550 8.962
angles (deg): 90.00 90.00 90.00
Space group Pmmm (No. 47)
Symmetry-distinct sites (fractional):
Hf1 0.000 0.000 0.000
Hf2 0.000 0.000 0.500
Hf3 0.000 0.500 0.237
Fe1 0.500 0.000 0.249
Fe2 0.500 0.500 0.000
Pd1 0.500 0.500 0.500

Most intense lines, 10° ≤ 2θ ≤ 80°, sorted by position:
Position (°2θ)  I_rel  index
28.0  34  1 0 0
39.6  26  0 2 0
39.9  100  1 1 2
40.3  24  0 0 4
49.2  5  1 2 0
49.7  5  1 0 4
57.8  25  2 0 0
65.4  9  2 1 2
72.1  17  1 3 2
72.3  9  2 2 0
72.8  8  2 0 4
73.0  15  1 1 6

(3)
The following is a calculated X-ray powder pattern of HfFe2Pd2. It was derived from DFT lattice parameters and positions (GGA-PBE), using Cu Ka.
Lines closer than 0.1° are merged.

Structural model:
a b c (Å): 7.317 7.317 2.850
angles (deg): 90.00 90.00 90.00
Space group P4/mbm (No. 127)
Symmetry-distinct sites (fractional):
Hf1 0.000 0.000 0.000
Fe1 0.116 0.384 0.000
Pd1 0.179 0.679 0.500

Most intense lines, 10° ≤ 2θ ≤ 80°, sorted by position:
Position (°2θ)  I_rel  index
17.1  16  1 1 0
34.7  47  2 2 0
36.0  28  1 1 1
38.9  100  3 1 0
40.1  97  2 0 1
42.0  84  2 1 1
50.8  17  3 1 1
51.5  19  4 1 0
61.6  15  4 1 1
63.0  28  3 3 1
74.0  31  5 1 1
78.9  25  3 1 2